[1]
Diffraction record for NaYSO4. The PXRD pattern is theoretical, not measured: it uses the PBE geometry in Alexandria and Cu Kα (weighted mean of Kα1 and Kα2).
Lines closer than 0.1° are merged.

Cell lengths 6.7322, 7.2679, 8.7249 Å; angles 90.00, 90.00, 90.00 degrees
Space group Imma (No. 74)
Inequivalent atoms, fractional coordinates:
1 Na 0.0000 0.0000 0.0000 (multiplicity 4)
2 Y 0.2500 0.2500 0.2500 (multiplicity 4)
3 S 0.0000 0.2500 0.6379 (multiplicity 4)
4 O 0.0000 0.0513 0.2455 (multiplicity 8)
5 O 0.1826 0.2500 0.5373 (multiplicity 8)

Largest 10 diffraction maxima, low angle first, 15° ≤ 2θ ≤ 90°:
d = 5.584 Å, 15.87 deg, I = 100
d = 4.362 Å, 20.36 deg, I = 36
d = 3.634 Å, 24.50 deg, I = 47
d = 3.002 Å, 29.76 deg, I = 36
d = 2.883 Å, 31.02 deg, I = 86
d = 2.700 Å, 33.18 deg, I = 71
d = 2.469 Å, 36.38 deg, I = 48
d = 2.106 Å, 42.94 deg, I = 21
d = 1.918 Å, 47.39 deg, I = 47
d = 1.635 Å, 56.27 deg, I = 47

---

[2]
Diffraction record for Na4SbO5. The PXRD pattern is theoretical, not measured: it uses the PBE geometry in Alexandria and Cu Kα (weighted mean of Kα1 and Kα2).
Lines closer than 0.1° are merged.

Cell lengths 7.3676, 7.3676, 5.0509 Å; angles 90.00, 90.00, 90.00 degrees
Space group I4 (No. 79)
Inequivalent atoms, fractional coordinates:
1 Na 0.0880 0.2969 0.0000 (multiplicity 8)
2 Sb 0.0000 0.0000 0.4610 (multiplicity 2)
3 O 0.0000 0.0000 0.0771 (multiplicity 2)
4 O 0.0755 0.2542 0.5290 (multiplicity 8)

Largest 10 diffraction maxima, low angle first, 15° ≤ 2θ ≤ 90°:
d = 5.210 Å, 17.02 deg, I = 91
d = 4.166 Å, 21.33 deg, I = 100
d = 3.684 Å, 24.16 deg, I = 34
d = 2.760 Å, 32.44 deg, I = 90
d = 2.525 Å, 35.55 deg, I = 44
d = 2.330 Å, 38.65 deg, I = 75
d = 1.712 Å, 53.51 deg, I = 47
d = 1.647 Å, 55.80 deg, I = 25
d = 1.415 Å, 66.05 deg, I = 26
d = 1.380 Å, 67.93 deg, I = 21

---

[3]
Diffraction record for Na2Sb4O11. The PXRD pattern is theoretical, not measured: it uses the PBE geometry in Alexandria and Cu Kα (weighted mean of Kα1 and Kα2).
Lines closer than 0.1° are merged.

Cell lengths 20.1030, 7.6396, 7.2834 Å; angles 90.00, 96.44, 90.00 degrees
Space group C2/m (No. 12)
Inequivalent atoms, fractional coordinates:
1 Na 0.0405 0.0000 0.2630 (multiplicity 4)
2 Na 0.2307 0.5000 0.0870 (multiplicity 4)
3 Sb 0.0694 0.5000 0.1028 (multiplicity 4)
4 Sb 0.0764 0.5000 0.6207 (multiplicity 4)
5 Sb 0.1744 0.2428 0.4438 (multiplicity 8)
6 O 0.0000 0.3253 0.0000 (multiplicity 4)
7 O 0.0221 0.5000 0.3463 (multiplicity 4)
8 O 0.0895 0.2447 0.5723 (multiplicity 8)
9 O 0.1173 0.5000 0.8770 (multiplicity 4)
10 O 0.1282 0.3048 0.1951 (multiplicity 8)
11 O 0.1557 0.0000 0.3633 (multiplicity 4)
12 O 0.1677 0.5000 0.5233 (multiplicity 4)
13 O 0.2401 0.2057 0.6683 (multiplicity 8)

Largest 10 diffraction maxima, low angle first, 15° ≤ 2θ ≤ 90°:
d = 3.568 Å, 24.96 deg, I = 100
d = 3.378 Å, 26.38 deg, I = 65
d = 3.282 Å, 27.17 deg, I = 49
d = 3.252 Å, 27.42 deg, I = 44
d = 3.061 Å, 29.18 deg, I = 41
d = 2.786 Å, 32.13 deg, I = 58
d = 2.671 Å, 33.55 deg, I = 41
d = 2.594 Å, 34.57 deg, I = 54
d = 2.510 Å, 35.78 deg, I = 67
d = 1.910 Å, 47.62 deg, I = 42

---

[4]
Diffraction record for Na2Sb4O11. The PXRD pattern is theoretical, not measured: it uses the PBE geometry in Alexandria and Cu Kα (weighted mean of Kα1 and Kα2).
Lines closer than 0.1° are merged.

Cell lengths 19.8578, 7.6967, 7.2977 Å; angles 90.00, 95.95, 90.00 degrees
Space group C2 (No. 5)
Inequivalent atoms, fractional coordinates:
1 Na 0.0232 0.0000 0.2704 (multiplicity 4)
2 Na 0.2348 0.3884 0.0906 (multiplicity 4)
3 Sb 0.0706 0.3866 0.1006 (multiplicity 4)
4 Sb 0.0770 0.3875 0.6210 (multiplicity 4)
5 Sb 0.1739 0.1254 0.4419 (multiplicity 4)
6 Sb 0.1737 0.6442 0.4394 (multiplicity 4)
7 O 0.0000 0.2090 0.0000 (multiplicity 2)
8 O 0.0000 0.5548 0.0000 (multiplicity 2)
9 O 0.0224 0.3821 0.3448 (multiplicity 4)
10 O 0.0862 0.1311 0.5714 (multiplicity 4)
11 O 0.0896 0.6387 0.5734 (multiplicity 4)
12 O 0.1189 0.3791 0.8751 (multiplicity 4)
13 O 0.1251 0.1843 0.1963 (multiplicity 4)
14 O 0.1337 0.5712 0.1895 (multiplicity 4)
15 O 0.1539 0.8850 0.3614 (multiplicity 4)
16 O 0.1675 0.3829 0.5173 (multiplicity 4)
17 O 0.2381 0.0917 0.6678 (multiplicity 4)
18 O 0.2391 0.6779 0.6669 (multiplicity 4)

Largest 10 diffraction maxima, low angle first, 15° ≤ 2θ ≤ 90°:
d = 3.586 Å, 24.83 deg, I = 100
d = 3.400 Å, 26.21 deg, I = 77
d = 3.290 Å, 27.10 deg, I = 54
d = 3.264 Å, 27.32 deg, I = 56
d = 2.790 Å, 32.09 deg, I = 72
d = 2.649 Å, 33.83 deg, I = 48
d = 2.600 Å, 34.49 deg, I = 58
d = 2.502 Å, 35.89 deg, I = 97
d = 2.148 Å, 42.07 deg, I = 48
d = 1.642 Å, 56.01 deg, I = 51

---

[5]
Diffraction record for NaSb5O8. The PXRD pattern is theoretical, not measured: it uses the PBE geometry in Alexandria and Cu Kα (weighted mean of Kα1 and Kα2).
Lines closer than 0.1° are merged.

Cell lengths 7.3947, 7.5346, 9.8693 Å; angles 75.05, 73.72, 86.79 degrees
Space group P-1 (No. 2)
Inequivalent atoms, fractional coordinates:
1 Na 0.2412 0.4392 0.4652 (multiplicity 2)
2 Sb 0.0344 0.8191 0.2235 (multiplicity 2)
3 Sb 0.0364 0.3999 0.1644 (multiplicity 2)
4 Sb 0.2420 0.9470 0.4684 (multiplicity 2)
5 Sb 0.3988 0.2382 0.8276 (multiplicity 2)
6 Sb 0.4809 0.6882 0.8401 (multiplicity 2)
7 O 0.0050 0.8948 0.4177 (multiplicity 2)
8 O 0.0384 0.5531 0.3173 (multiplicity 2)
9 O 0.0484 0.3594 0.9406 (multiplicity 2)
10 O 0.2544 0.1880 0.6991 (multiplicity 2)
11 O 0.3053 0.1974 0.3360 (multiplicity 2)
12 O 0.3214 0.4564 0.0729 (multiplicity 2)
13 O 0.3531 0.8119 0.3036 (multiplicity 2)
14 O 0.4440 0.5092 0.7311 (multiplicity 2)

Largest 10 diffraction maxima, low angle first, 15° ≤ 2θ ≤ 90°:
d = 5.107 Å, 17.37 deg, I = 54
d = 4.583 Å, 19.37 deg, I = 18
d = 3.279 Å, 27.19 deg, I = 100
d = 3.214 Å, 27.76 deg, I = 33
d = 3.174 Å, 28.11 deg, I = 21
d = 3.122 Å, 28.59 deg, I = 49
d = 3.055 Å, 29.23 deg, I = 38
d = 3.039 Å, 29.39 deg, I = 44
d = 2.743 Å, 32.65 deg, I = 25
d = 2.698 Å, 33.21 deg, I = 20

---

[6]
Diffraction record for NaSb2O4. The PXRD pattern is theoretical, not measured: it uses the PBE geometry in Alexandria and Cu Kα (weighted mean of Kα1 and Kα2).
Lines closer than 0.1° are merged.

Cell lengths 6.5987, 6.7758, 7.1185 Å; angles 63.62, 65.60, 67.66 degrees
Space group P1 (No. 1)
Inequivalent atoms, fractional coordinates:
1 Na 0.0000 0.0000 0.0000 (multiplicity 1)
2 Na 0.2601 0.4851 0.5242 (multiplicity 1)
3 Sb 0.3335 0.3057 0.1101 (multiplicity 1)
4 Sb 0.7079 0.5292 0.6070 (multiplicity 1)
5 Sb 0.7592 0.0156 0.6685 (multiplicity 1)
6 Sb 0.8391 0.5613 0.0533 (multiplicity 1)
7 O 0.0564 0.2531 0.0847 (multiplicity 1)
8 O 0.0953 0.6025 0.1233 (multiplicity 1)
9 O 0.4519 0.3661 0.7818 (multiplicity 1)
10 O 0.6387 0.4862 0.9589 (multiplicity 1)
11 O 0.6417 0.4868 0.3599 (multiplicity 1)
12 O 0.6741 0.8972 0.9989 (multiplicity 1)
13 O 0.9385 0.2195 0.6450 (multiplicity 1)
14 O 0.9961 0.7135 0.7186 (multiplicity 1)

Largest 10 diffraction maxima, low angle first, 15° ≤ 2θ ≤ 90°:
d = 5.891 Å, 15.04 deg, I = 82
d = 5.832 Å, 15.19 deg, I = 100
d = 5.305 Å, 16.71 deg, I = 79
d = 5.016 Å, 17.68 deg, I = 41
d = 3.703 Å, 24.03 deg, I = 49
d = 3.186 Å, 28.01 deg, I = 32
d = 3.047 Å, 29.31 deg, I = 76
d = 2.947 Å, 30.33 deg, I = 73
d = 2.928 Å, 30.53 deg, I = 36
d = 2.406 Å, 37.37 deg, I = 52

---

[7]
Diffraction record for NaSbO2. The PXRD pattern is theoretical, not measured: it uses the PBE geometry in Alexandria and Cu Kα (weighted mean of Kα1 and Kα2).
Lines closer than 0.1° are merged.

Cell lengths 4.9567, 19.9460, 6.4424 Å; angles 90.00, 90.00, 90.00 degrees
Space group Pbca (No. 61)
Inequivalent atoms, fractional coordinates:
1 Na 0.2150 0.2061 0.0838 (multiplicity 8)
2 Sb 0.2373 0.0980 0.5572 (multiplicity 8)
3 O 0.1283 0.1124 0.8574 (multiplicity 8)
4 O 0.1988 0.1868 0.4442 (multiplicity 8)

Largest 10 diffraction maxima, low angle first, 15° ≤ 2θ ≤ 90°:
d = 5.412 Å, 16.38 deg, I = 25
d = 4.987 Å, 17.79 deg, I = 55
d = 3.655 Å, 24.35 deg, I = 100
d = 3.324 Å, 26.82 deg, I = 19
d = 3.221 Å, 27.69 deg, I = 24
d = 3.086 Å, 28.93 deg, I = 34
d = 2.703 Å, 33.14 deg, I = 23
d = 2.478 Å, 36.25 deg, I = 22
d = 2.105 Å, 42.96 deg, I = 18
d = 2.098 Å, 43.12 deg, I = 22

---

[8]
Diffraction record for NaSbO2. The PXRD pattern is theoretical, not measured: it uses the PBE geometry in Alexandria and Cu Kα (weighted mean of Kα1 and Kα2).
Lines closer than 0.1° are merged.

Cell lengths 5.4726, 5.3759, 10.1225 Å; angles 90.00, 118.71, 90.00 degrees
Space group P2/c (No. 13)
Inequivalent atoms, fractional coordinates:
1 Na 0.1099 0.2336 0.1227 (multiplicity 4)
2 Sb 0.4056 0.2323 0.8813 (multiplicity 4)
3 O 0.2400 0.2306 0.6317 (multiplicity 4)
4 O 0.3430 0.1355 0.3763 (multiplicity 4)

Largest 10 diffraction maxima, low angle first, 15° ≤ 2θ ≤ 90°:
d = 4.800 Å, 18.49 deg, I = 97
d = 4.599 Å, 19.30 deg, I = 100
d = 4.515 Å, 19.66 deg, I = 33
d = 2.972 Å, 30.07 deg, I = 97
d = 2.833 Å, 31.58 deg, I = 88
d = 2.730 Å, 32.81 deg, I = 72
d = 2.688 Å, 33.33 deg, I = 71
d = 2.220 Å, 40.65 deg, I = 49
d = 1.915 Å, 47.47 deg, I = 40
d = 1.711 Å, 53.54 deg, I = 34

---

[9]
Diffraction record for Na2Sb4O11. The PXRD pattern is theoretical, not measured: it uses the PBE geometry in Alexandria and Cu Kα (weighted mean of Kα1 and Kα2).
Lines closer than 0.1° are merged.

Cell lengths 6.3210, 6.3210, 36.0947 Å; angles 90.00, 90.00, 120.00 degrees
Space group R-3c (No. 167, hexagonal axes)
Inequivalent atoms, fractional coordinates:
1 Na 0.0000 0.0000 0.1679 (multiplicity 12)
2 Sb 0.0000 0.0000 0.0000 (multiplicity 6)
3 Sb 0.0000 0.3591 0.2500 (multiplicity 18)
4 O 0.0000 0.0000 0.0939 (multiplicity 12)
5 O 0.0000 0.2583 0.7500 (multiplicity 18)
6 O 0.0214 0.2858 0.5288 (multiplicity 36)

Largest 10 diffraction maxima, low angle first, 15° ≤ 2θ ≤ 90°:
d = 5.238 Å, 16.93 deg, I = 45
d = 3.057 Å, 29.22 deg, I = 100
d = 3.009 Å, 29.69 deg, I = 60
d = 2.798 Å, 31.99 deg, I = 81
d = 2.482 Å, 36.19 deg, I = 23
d = 1.915 Å, 47.49 deg, I = 25
d = 1.825 Å, 49.98 deg, I = 42
d = 1.693 Å, 54.17 deg, I = 27
d = 1.560 Å, 59.23 deg, I = 36
d = 1.161 Å, 83.25 deg, I = 13

---

[10]
Diffraction record for Na2ScSbO4. The PXRD pattern is theoretical, not measured: it uses the PBE geometry in Alexandria and Cu Kα (weighted mean of Kα1 and Kα2).
Lines closer than 0.1° are merged.

Cell lengths 5.8249, 3.3009, 5.8605 Å; angles 90.00, 108.99, 90.00 degrees
Space group P2/m (No. 10)
Inequivalent atoms, fractional coordinates:
1 Na 0.0000 0.0000 0.0000 (multiplicity 1)
2 Na 0.5000 0.5000 0.0000 (multiplicity 1)
3 Sc 0.0000 0.5000 0.5000 (multiplicity 1)
4 Sb 0.5000 0.0000 0.5000 (multiplicity 1)
5 O 0.2199 0.0000 0.7053 (multiplicity 2)
6 O 0.2376 0.5000 0.2834 (multiplicity 2)

Largest 10 diffraction maxima, low angle first, 15° ≤ 2θ ≤ 90°:
d = 5.536 Å, 16.01 deg, I = 100
d = 2.833 Å, 31.58 deg, I = 32
d = 2.771 Å, 32.31 deg, I = 19
d = 2.754 Å, 32.51 deg, I = 17
d = 2.712 Å, 33.03 deg, I = 33
d = 2.378 Å, 37.83 deg, I = 39
d = 2.366 Å, 38.03 deg, I = 77
d = 1.834 Å, 49.71 deg, I = 17
d = 1.681 Å, 54.59 deg, I = 23
d = 1.674 Å, 54.86 deg, I = 24